# V3SbP4O16
Calculated powder diffraction line list, CuKα. Input: a cell relaxed with GGA+U.
No peak broadening, texture or thermal motion is included.

Largest 10 diffraction maxima, in order of falling intensity, 2θ = 15–90°:
2θ 24.65, d = 3.611 Å, I 100, hkl 1 1 1
2θ 19.67, d = 4.514 Å, I 80, hkl 1 0 1
2θ 17.25, d = 5.139 Å, I 80, hkl 0 0 2
2θ 29.69, d = 3.009 Å, I 68, hkl 0 2 0
2θ 34.97, d = 2.566 Å, I 52, hkl 1 1 -3
2θ 35.08, d = 2.558 Å, I 47, hkl 1 1 3
2θ 35.86, d = 2.504 Å, I 32, hkl 1 2 1
2θ 28.95, d = 3.084 Å, I 26, hkl 1 1 2
2θ 56.19, d = 1.637 Å, I 23, hkl 1 3 -3
2θ 22.75, d = 3.908 Å, I 23, hkl 0 1 2

Cell and atoms:
a = 5.026 Å, b = 6.019 Å, c = 10.279 Å
α = 90.00°, β = 90.23°, γ = 90.00°
Element x y z (fractional)
V: 0.000 0.000 0.000
V: 0.074 0.500 0.451
V: 0.505 0.500 0.964
Sb: 0.568 0.000 0.506
P: 0.113 0.000 0.315
P: 0.431 0.000 0.839
P: 0.654 0.500 0.634
P: 0.943 0.500 0.131
O: 0.178 0.000 0.170
O: 0.241 0.500 0.104
O: 0.251 0.203 0.386
O: 0.251 0.797 0.386
O: 0.291 0.201 0.912
O: 0.291 0.799 0.912
O: 0.356 0.000 0.696
O: 0.369 0.500 0.582
O: 0.661 0.500 0.782
O: 0.731 0.000 0.861
O: 0.794 0.301 0.060
O: 0.794 0.699 0.060
O: 0.812 0.000 0.335
O: 0.821 0.303 0.570
O: 0.821 0.697 0.570
O: 0.892 0.500 0.278